This entry pairs a crystal structure of LiSb3P2O10 with its computed X-ray powder pattern. Radiation: λ = 1.5418 Å (Cu Kα). Structure: a crystal structure in Alexandria, relaxed with PBE.

The 10 most intense peaks (2θ from 15° to 90°), by angle:
(0 1 -1), 15.27°, rel. 37
(1 0 0), 17.61°, rel. 57
(1 -1 0), 19.78°, rel. 37
(1 1 -1), 21.75°, rel. 51
(0 1 1), 24.33°, rel. 32
(0 2 -1), 26.00°, rel. 36
(1 0 1), 26.85°, rel. 60
(1 0 -2), 27.37°, rel. 100
(0 2 0), 28.79°, rel. 35
(1 -2 1), 30.72°, rel. 58

Structure:
```
data_LiSb3P2O10
_cell_length_a 5.493
_cell_length_b 6.905
_cell_length_c 7.235
_cell_angle_alpha 112.05
_cell_angle_beta 108.90
_cell_angle_gamma 95.44
_symmetry_space_group_name_H-M 'P 1'
_symmetry_Int_Tables_number 1
_symmetry_space_group_name_Hall 'P 1'
loop_
_atom_site_label
_atom_site_type_symbol
_atom_site_fract_x
_atom_site_fract_y
_atom_site_fract_z
Li1 Li 0.000 0.000 0.000
Sb1 Sb 0.453 0.761 0.910
Sb2 Sb 0.619 0.078 0.450
Sb3 Sb 0.977 0.606 0.166
P1 P 0.403 0.191 0.841
P2 P 0.694 0.602 0.510
O1 O 0.146 0.157 0.871
O2 O 0.324 0.915 0.155
O3 O 0.346 0.128 0.596
O4 O 0.510 0.741 0.440
O5 O 0.537 0.364 0.395
O6 O 0.567 0.435 0.975
O7 O 0.601 0.063 0.926
O8 O 0.808 0.850 0.162
O9 O 0.809 0.687 0.760
O10 O 0.941 0.626 0.444
```